Starting from the PBE geometry in Alexandria, the XRD peak list of PmPr2Sm2Y6 was simulated for Cu Ka.

Largest 8 diffraction maxima, sorted by position, 10 to 90 degrees two-theta:
2theta  I/Imax
30.51  100
30.74  49
30.91  49
34.31  36
36.17  63
50.59  23
50.83  25
59.11  21

Cell: 6.3013 10.6125 11.6670 Å, 90.00 97.33 90.00°
Space group C2/m (No. 12)
Inequivalent atoms, fractional coordinates:
Pm  0.0000  0.0000  0.0000 x2
Pr  0.0000  0.1791  0.5000 x4
Sm  0.0000  0.3370  0.0000 x4
Y  0.2299  0.5000  0.2578 x4
Y  0.2332  0.1672  0.2463 x8